Diffraction record for Li3Co4O8. The powder diffraction line list is computed, not measured: it uses a PBE+U-relaxed structure and λ = 1.5418 Å (Cu Kα).
Kinematic intensities with the Lorentz-polarization factor, no thermal factor.

Principal peaks in the range 2θ from 10° to 90°, sorted by position:
hkl  2θ/deg  I/Imax
0 1 -1  18.25  100
2 -1 1  36.33  24
-2 1 3  36.95  16
2 -2 2  43.76  41
2 0 -4  44.39  19
0 3 1  57.43  10
0 2 -6  63.11  11
-4 4 4  82.33  8

Cell and atoms:
```
Li3Co4O8
1.0
5.742 0.000 0.000
-2.857 5.145 0.000
-2.693 -1.866 9.469
Li Co O
6 8 16
Direct
0.000 0.000 0.000
0.001 0.255 0.247
0.005 0.504 0.506
0.010 0.758 0.765
0.488 0.994 0.994
0.509 0.506 0.510
0.002 0.254 0.755
0.002 0.509 0.005
0.005 0.998 0.503
0.007 0.755 0.255
0.499 0.250 0.754
0.503 0.504 0.003
0.504 0.001 0.501
0.507 0.757 0.254
0.218 0.845 0.130
0.234 0.610 0.885
0.236 0.341 0.628
0.241 0.090 0.387
0.253 0.137 0.878
0.261 0.422 0.123
0.262 0.902 0.612
0.266 0.663 0.371
0.729 0.341 0.619
0.748 0.089 0.389
0.750 0.608 0.890
0.752 0.899 0.611
0.760 0.863 0.145
0.766 0.163 0.880
0.785 0.421 0.132
0.793 0.664 0.379
```